[1]
Simulated X-ray powder pattern of ErZrSi2 for Cu Kα (λ = 1.5418 Å), from a DFT-relaxed cell (PBE, Alexandria).
Peak positions follow from Bragg's law for the DFT cell and can differ from measured ones.

Most intense lines, 10 to 80 degrees two-theta, sorted by position:
2θ 28.7, I = 44
2θ 31.2, I = 100
2θ 33.9, I = 85
2θ 34.8, I = 89
2θ 37.7, I = 55
2θ 42.5, I = 53

Crystal structure
```
8
Lattice="3.771 0.000 0.000 0.000 5.493 0.000 0.000 0.000 7.436" Properties=species:S:1:pos:R:3 pbc="T T T"
Er 0.000 0.707 0.000
Er 0.000 4.785 3.718
Zr 1.886 2.047 2.660
Zr 1.886 3.446 6.378
Si 0.000 2.140 4.739
Si 0.000 3.353 1.020
Si 1.886 0.678 5.323
Si 1.886 4.814 1.605
```

---

[2]
Simulated X-ray powder pattern of CsPuCd17 for Cu Kα (λ = 1.5418 Å), from a DFT-relaxed cell (PBE, Alexandria).
Peak positions follow from Bragg's law for the DFT cell and can differ from measured ones.

Most intense lines, 10 to 80 degrees two-theta, sorted by position:
2θ 30.0, I = 23
2θ 34.8, I = 100
2θ 35.1, I = 20
2θ 35.5, I = 28
2θ 39.1, I = 25
2θ 62.8, I = 21

Crystal structure
```
19
Lattice="5.163 2.981 5.113 -5.163 2.981 5.113 0.000 -5.962 5.113" Properties=species:S:1:pos:R:3 pbc="T T T"
Cs 0.000 0.000 0.000
Pu 0.000 0.000 5.058
Cd 0.000 -2.662 2.790
Cd -2.305 1.331 2.790
Cd -2.711 -1.565 7.624
Cd 0.000 -2.845 7.228
Cd -2.463 1.422 7.228
Cd -1.491 -2.661 10.129
Cd -3.049 0.039 10.129
Cd 2.305 1.331 2.790
Cd 0.000 0.000 8.487
Cd 1.491 -2.661 10.129
Cd -1.559 2.621 10.129
Cd 2.711 -1.565 7.624
Cd 0.000 3.130 7.624
Cd 0.000 0.000 11.524
Cd 2.463 1.422 7.228
Cd 3.049 0.039 10.129
Cd 1.559 2.621 10.129
```

---

[3]
Simulated X-ray powder pattern of PrSm14Pu for Cu Kα (λ = 1.5418 Å), from a DFT-relaxed cell (PBE, Alexandria).
Peak positions follow from Bragg's law for the DFT cell and can differ from measured ones.

Most intense lines, 10 to 80 degrees two-theta, sorted by position:
2θ 30.2, I = 100
2θ 35.0, I = 34
2θ 35.2, I = 17
2θ 50.5, I = 24
2θ 59.8, I = 29
2θ 60.1, I = 14

Crystal structure
```
16
Lattice="7.255 0.000 0.000 0.000 7.255 0.000 0.000 0.000 10.204" Properties=species:S:1:pos:R:3 pbc="T T T"
Pr 0.000 0.000 0.000
Sm 0.000 0.000 5.102
Sm 0.000 3.627 0.000
Sm 0.000 3.627 5.102
Sm 1.832 1.832 2.531
Sm 1.832 1.832 7.672
Sm 1.832 5.423 2.531
Sm 1.832 5.423 7.672
Sm 3.627 0.000 0.000
Sm 3.627 0.000 5.102
Sm 3.627 3.627 5.102
Sm 5.423 1.832 2.531
Sm 5.423 1.832 7.672
Sm 5.423 5.423 2.531
Sm 5.423 5.423 7.672
Pu 3.627 3.627 0.000
```

---

[4]
Simulated X-ray powder pattern of Dy8P3Se3S for Cu Kα (λ = 1.5418 Å), from a DFT-relaxed cell (PBE, Alexandria).
Peak positions follow from Bragg's law for the DFT cell and can differ from measured ones.

Most intense lines, 10 to 80 degrees two-theta, sorted by position:
2θ 27.4, I = 44
2θ 31.6, I = 100
2θ 45.0, I = 35
2θ 45.5, I = 37
2θ 56.4, I = 19
2θ 75.3, I = 16

Crystal structure
```
15
Lattice="3.987 2.302 6.604 -3.987 2.302 6.604 0.000 -4.604 6.604" Properties=species:S:1:pos:R:3 pbc="T T T"
Dy -2.013 -1.162 11.444
Dy 0.000 0.000 4.808
Dy 0.000 -2.325 8.370
Dy -2.013 1.162 8.370
Dy 2.013 -1.162 11.444
Dy 0.000 2.325 11.444
Dy 0.000 0.000 15.005
Dy 2.013 1.162 8.370
P -3.987 0.000 9.907
P -1.993 1.151 3.302
P 1.993 1.151 3.302
Se -1.993 -1.151 6.604
Se -1.993 1.151 13.209
Se 0.000 2.302 6.604
S 0.000 0.000 9.907
```

---

[5]
Simulated X-ray powder pattern of Tb4Se2S5 for Cu Kα (λ = 1.5418 Å), from a DFT-relaxed cell (PBE, Alexandria).
Peak positions follow from Bragg's law for the DFT cell and can differ from measured ones.

Most intense lines, 10 to 80 degrees two-theta, sorted by position:
2θ 19.4, I = 53
2θ 20.7, I = 92
2θ 25.8, I = 100
2θ 28.1, I = 75
2θ 38.3, I = 78
2θ 45.5, I = 63

Crystal structure
```
11
Lattice="7.830 -2.227 0.000 7.830 2.227 0.000 -0.986 0.000 9.150" Properties=species:S:1:pos:R:3 pbc="T T T"
Tb 0.095 0.000 2.935
Tb 4.206 0.000 2.884
Tb 10.467 0.000 6.266
Tb 14.578 0.000 6.215
Se 1.304 0.000 7.745
Se 13.369 0.000 1.405
S 2.071 0.000 1.334
S 2.126 0.000 4.745
S 7.336 0.000 4.575
S 12.547 0.000 4.405
S 12.602 0.000 7.816
```

---

[6]
Simulated X-ray powder pattern of AlSi for Cu Kα (λ = 1.5418 Å), from a DFT-relaxed cell (PBE, Alexandria).
Peak positions follow from Bragg's law for the DFT cell and can differ from measured ones.

Most intense lines, 10 to 80 degrees two-theta, sorted by position:
2θ 34.3, I = 100
2θ 37.1, I = 77
2θ 38.9, I = 42
2θ 39.5, I = 42
2θ 50.9, I = 46
2θ 51.9, I = 43

Crystal structure
```
4
Lattice="3.520 0.000 0.000 -0.006 3.894 0.000 -1.725 -1.855 4.850" Properties=species:S:1:pos:R:3 pbc="T T T"
Al 0.018 0.535 1.350
Al 1.772 1.504 3.499
Si 0.012 -0.457 3.797
Si 1.778 2.496 1.053
```